(1)
CsHf2UO8: simulated powder diffraction line list (Cu Kα), based on a PBE-relaxed structure.
No peak broadening, texture or thermal motion is included.

Principal peaks in the range 2θ = 10–80°, by angle:
index	2θ/deg	d_spacing	I/Imax
1 1 -1	18.54	4.786	45
2 0 0	20.36	4.361	93
1 1 -2	25.98	3.429	100
0 2 0	27.41	3.254	50
1 1 2	31.81	2.813	58
3 1 -1	32.04	2.793	18
2 2 0	34.39	2.608	32
3 1 -2	34.61	2.591	24
3 1 2	47.49	1.915	19
1 3 -2	47.59	1.911	21
1 3 2	51.29	1.781	17
5 1 -1	51.50	1.774	16

Cell and atoms:
```
data_CsHf2UO8
_chemical_formula_sum 'Cs2 Hf4 U2 O16'
_cell_length_a 9.2851
_cell_length_b 6.5079
_cell_length_c 8.1096
_cell_angle_alpha 90.00
_cell_angle_beta 110.06
_cell_angle_gamma 90.00
_symmetry_space_group_name_H-M 'C 1 2/m 1'
_symmetry_Int_Tables_number 12
_symmetry_space_group_name_Hall '-C 2y'
loop_
_atom_site_label
_atom_site_type_symbol
_atom_site_fract_x
_atom_site_fract_y
_atom_site_fract_z
_atom_site_occupancy
Cs1 Cs 0.0000 0.0000 0.0000 1
Hf1 Hf 0.0529 0.5000 0.2351 1
U1 U 0.0000 0.0000 0.5000 1
O1 O 0.0047 0.2363 0.6852 1
O2 O 0.1220 0.5000 0.0199 1
O3 O 0.2299 0.0000 0.5941 1
```

***

(2)
MgBRh3: simulated powder diffraction line list (Cu Kα), based on a PBE-relaxed structure.
No peak broadening, texture or thermal motion is included.

Principal peaks in the range 2θ = 10–80°, by angle:
index	2θ/deg	d_spacing	I/Imax
0 1 1	19.06	4.657	36
0 0 2	21.50	4.133	18
0 1 3	36.35	2.471	20
1 0 2	37.79	2.381	100
0 2 2	38.67	2.328	93
0 0 4	43.81	2.066	33
1 2 0	44.75	2.025	68
2 0 0	63.94	1.456	11
1 2 4	64.42	1.446	41
1 0 6	76.49	1.245	11
2 2 2	77.28	1.235	24
1 4 2	78.95	1.213	22

Cell and atoms:
```
data_MgBRh3
_chemical_formula_sum 'Mg2 B2 Rh6'
_cell_length_a 2.9122
_cell_length_b 5.6365
_cell_length_c 8.2658
_cell_angle_alpha 90.00
_cell_angle_beta 90.00
_cell_angle_gamma 90.00
_symmetry_space_group_name_H-M 'A m m 2'
_symmetry_Int_Tables_number 38
_symmetry_space_group_name_Hall 'A 2 -2'
loop_
_atom_site_label
_atom_site_type_symbol
_atom_site_fract_x
_atom_site_fract_y
_atom_site_fract_z
_atom_site_occupancy
Mg1 Mg 0.0000 0.0000 0.0000 1
B1 B 0.0000 0.0000 0.2931 1
Rh1 Rh 0.0000 0.0000 0.5339 1
Rh2 Rh 0.5000 0.2429 0.7629 1
```

***

(3)
La4AgHg2: simulated powder diffraction line list (Cu Kα), based on a PBE-relaxed structure.
No peak broadening, texture or thermal motion is included.

Principal peaks in the range 2θ = 10–80°, by angle:
index	2θ/deg	d_spacing	I/Imax
0 1 2	20.03	4.434	24
1 1 0	32.95	2.718	100
0 1 8	33.17	2.701	98
1 1 6	38.93	2.314	15
2 0 8	47.45	1.916	36
3 0 0	58.84	1.569	19
1 2 8	58.98	1.566	38
1 0 16	59.39	1.556	18
2 2 0	69.12	1.359	12
0 2 16	69.62	1.351	11
3 1 8	78.84	1.214	16
2 1 16	79.20	1.209	16

Cell and atoms:
```
data_La4AgHg2
_chemical_formula_sum 'La12 Ag3 Hg6'
_cell_length_a 5.4363
_cell_length_b 5.4363
_cell_length_c 26.3826
_cell_angle_alpha 90.00
_cell_angle_beta 90.00
_cell_angle_gamma 120.00
_symmetry_space_group_name_H-M 'R -3 m'
_symmetry_Int_Tables_number 166
_symmetry_space_group_name_Hall '-R 3 2"'
loop_
_atom_site_label
_atom_site_type_symbol
_atom_site_fract_x
_atom_site_fract_y
_atom_site_fract_z
_atom_site_occupancy
La1 La 0.0000 0.0000 0.1234 1
La2 La 0.0000 0.0000 0.3743 1
Ag1 Ag 0.0000 0.0000 0.5000 1
Hg1 Hg 0.0000 0.0000 0.2514 1
```

***

(4)
CeNd2UN4: simulated powder diffraction line list (Cu Kα), based on a PBE-relaxed structure.
No peak broadening, texture or thermal motion is included.

Principal peaks in the range 2θ = 10–80°, by angle:
index	2θ/deg	d_spacing	I/Imax
1 0 1	19.63	4.523	6
1 1 2	30.68	2.914	100
2 0 0	35.39	2.536	48
0 0 4	35.95	2.498	22
2 1 1	40.79	2.212	2
2 2 0	50.91	1.794	17
2 0 4	51.33	1.780	32
3 1 2	60.63	1.527	31
1 1 6	61.37	1.511	15
2 2 4	63.89	1.457	17
4 0 0	74.87	1.268	5
0 0 8	76.21	1.249	2

Cell and atoms:
```
data_CeNd2UN4
_chemical_formula_sum 'Ce2 Nd4 U2 N8'
_cell_length_a 5.0728
_cell_length_b 5.0728
_cell_length_c 9.9936
_cell_angle_alpha 90.00
_cell_angle_beta 90.00
_cell_angle_gamma 90.00
_symmetry_space_group_name_H-M 'I -4 m 2'
_symmetry_Int_Tables_number 119
_symmetry_space_group_name_Hall 'I -4 -2'
loop_
_atom_site_label
_atom_site_type_symbol
_atom_site_fract_x
_atom_site_fract_y
_atom_site_fract_z
_atom_site_occupancy
Ce1 Ce 0.0000 0.0000 0.0000 1
Nd1 Nd 0.0000 0.0000 0.5000 1
Nd2 Nd 0.0000 0.5000 0.2500 1
U1 U 0.0000 0.5000 0.7500 1
N1 N 0.0000 0.0000 0.2429 1
N2 N 0.0000 0.5000 0.5293 1
```

***

(5)
Er2Zn2Ga: simulated powder diffraction line list (Cu Kα), based on a PBE-relaxed structure.
No peak broadening, texture or thermal motion is included.

Principal peaks in the range 2θ = 10–80°, by angle:
index	2θ/deg	d_spacing	I/Imax
2 0 -3	26.29	3.390	25
1 1 2	32.57	2.749	49
3 1 -1	33.10	2.707	35
1 1 -3	33.25	2.695	100
3 1 -2	33.50	2.675	46
4 0 -2	34.26	2.618	43
3 1 -3	36.64	2.452	30
0 0 4	38.87	2.317	24
3 1 1	40.32	2.237	68
0 2 0	41.63	2.170	53
4 2 -2	54.97	1.670	22
4 2 -6	70.57	1.335	20

Cell and atoms:
```
data_Er2Zn2Ga
_chemical_formula_sum 'Er8 Zn8 Ga4'
_cell_length_a 10.4848
_cell_length_b 4.3390
_cell_length_c 10.4171
_cell_angle_alpha 90.00
_cell_angle_beta 117.16
_cell_angle_gamma 90.00
_symmetry_space_group_name_H-M 'C 1 2/m 1'
_symmetry_Int_Tables_number 12
_symmetry_space_group_name_Hall '-C 2y'
loop_
_atom_site_label
_atom_site_type_symbol
_atom_site_fract_x
_atom_site_fract_y
_atom_site_fract_z
_atom_site_occupancy
Er1 Er 0.0185 0.0000 0.3353 1
Er2 Er 0.1900 0.0000 0.1015 1
Zn1 Zn 0.0206 0.5000 0.8850 1
Zn2 Zn 0.1391 0.5000 0.5595 1
Ga1 Ga 0.2262 0.5000 0.3377 1
```

***

(6)
PmCd2IO6: simulated powder diffraction line list (Cu Kα), based on a PBE-relaxed structure.
No peak broadening, texture or thermal motion is included.

Principal peaks in the range 2θ = 10–80°, by angle:
index	2θ/deg	d_spacing	I/Imax
0 1 2	21.11	4.209	20
1 0 4	29.45	3.032	100
1 1 0	30.59	2.922	99
0 2 4	42.98	2.104	43
2 -1 6	47.59	1.911	26
0 1 8	51.53	1.774	12
3 -1 4	53.67	1.708	41
3 0 0	54.37	1.687	29
2 2 0	63.68	1.461	13
1 0 10	64.17	1.451	8
1 2 8	69.89	1.346	9
1 3 4	71.70	1.316	15

Cell and atoms:
```
data_PmCd2IO6
_chemical_formula_sum 'Pm3 Cd6 I3 O18'
_cell_length_a 5.8449
_cell_length_b 5.8449
_cell_length_c 15.1496
_cell_angle_alpha 90.00
_cell_angle_beta 90.00
_cell_angle_gamma 120.00
_symmetry_space_group_name_H-M 'R 3'
_symmetry_Int_Tables_number 146
_symmetry_space_group_name_Hall 'R 3'
loop_
_atom_site_label
_atom_site_type_symbol
_atom_site_fract_x
_atom_site_fract_y
_atom_site_fract_z
_atom_site_occupancy
Pm1 Pm 0.0000 0.0000 0.0000 1
Cd1 Cd 0.0000 0.0000 0.2675 1
Cd2 Cd 0.0000 0.0000 0.7875 1
I1 I 0.0000 0.0000 0.4910 1
O1 O 0.0439 0.3531 0.5640 1
O2 O 0.0673 0.6782 0.0751 1
```